Diffraction record for La2YErIn2. The X-ray diffraction stick pattern is computed, not measured: it uses a cell relaxed with GGA-PBE and Cu Kα, 1.54184 Å.

Top 10 peaks for 10° ≤ 2θ ≤ 90°, most intense first:
Position (°2θ)	I_rel
31.47	100.0
31.20	99.5
32.43	68.7
34.93	65.1
34.10	46.6
37.02	28.8
29.18	28.2
51.82	25.5
27.78	20.9
46.16	20.8

Structural model:
```
data_La2YErIn2
_symmetry_space_group_name_H-M 'P m c 21'
_symmetry_Int_Tables_number 26
_cell_length_a 5.1369
_cell_length_b 10.2410
_cell_length_c 6.9100
_cell_angle_alpha 90.00
_cell_angle_beta 90.00
_cell_angle_gamma 90.00
loop_
_symmetry_equiv_pos_as_xyz
'x,y,z'
'-x,-y,z+1/2'
'-x,y,z'
'x,-y,z+1/2'
loop_
_atom_site_label
_atom_site_type_symbol
_atom_site_fract_x
_atom_site_fract_y
_atom_site_fract_z
La1 La 0.0000 0.0590 0.0000
La2 La 0.5000 0.1796 0.2236
Y1 Y 0.5000 0.4593 0.8694
Er1 Er 0.0000 0.3098 0.5871
In1 In 0.0000 0.3872 0.1320
In2 In 0.5000 0.1512 0.7115
```